1.
For KAlCl4, the PBE geometry in Alexandria gives the theoretical powder X-ray diffraction pattern in this record (a wavelength of 1.5418 Å).

Cell and atoms:
Unit cell a=9.700 b=6.378 c=6.519 alpha=90.00 beta=90.00 gamma=90.00
Space group Pmn2_1 (No. 31)
Symmetry-distinct sites (fractional):
K  0.000  0.192  0.000 [2 per cell]
Al  0.000  0.664  0.486 [2 per cell]
Cl  0.000  0.327  0.528 [2 per cell]
Cl  0.000  0.713  0.158 [2 per cell]
Cl  0.179  0.801  0.630 [4 per cell]

Most intense lines, 15° ≤ 2θ ≤ 90°, by intensity:
18.3°, intensity 100; 28.0°, intensity 87; 26.8°, intensity 84; 27.4°, intensity 77; 19.5°, intensity 65; 32.2°, intensity 57; 30.9°, intensity 47; 31.2°, intensity 42; 42.2°, intensity 39; 21.5°, intensity 38

2.
For K2AlCl5, the PBE geometry in Alexandria gives the theoretical powder X-ray diffraction pattern in this record (a wavelength of 1.5418 Å).

Cell and atoms:
Unit cell a=12.015 b=12.654 c=9.135 alpha=90.00 beta=90.00 gamma=90.00
Space group Pnnm (No. 58)
Symmetry-distinct sites (fractional):
K  0.000  0.000  0.225 [4 per cell]
K  0.144  0.344  0.000 [4 per cell]
Al  0.242  0.729  0.000 [4 per cell]
Cl  0.095  0.155  0.500 [4 per cell]
Cl  0.119  0.602  0.000 [4 per cell]
Cl  0.123  0.119  0.000 [4 per cell]
Cl  0.220  0.825  0.193 [8 per cell]

Most intense lines, 15° ≤ 2θ ≤ 90°, by intensity:
20.4°, intensity 100; 25.2°, intensity 82; 39.5°, intensity 70; 35.8°, intensity 64; 25.5°, intensity 62; 26.3°, intensity 59; 41.4°, intensity 46; 24.3°, intensity 44; 19.4°, intensity 35; 33.5°, intensity 32

3.
For K4AlCl7, the PBE geometry in Alexandria gives the theoretical powder X-ray diffraction pattern in this record (a wavelength of 1.5418 Å).

Cell and atoms:
Unit cell a=15.829 b=5.240 c=10.199 alpha=90.00 beta=107.68 gamma=90.00
Space group C2 (No. 5)
Symmetry-distinct sites (fractional):
K  0.017  0.000  0.207 [4 per cell]
K  0.249  0.491  0.178 [4 per cell]
Al  0.000  0.546  0.500 [2 per cell]
Cl  0.000  0.972  0.500 [2 per cell]
Cl  0.106  0.484  0.707 [4 per cell]
Cl  0.107  0.491  0.389 [4 per cell]
Cl  0.149  0.992  0.046 [4 per cell]

Most intense lines, 15° ≤ 2θ ≤ 90°, by intensity:
34.3°, intensity 100; 20.9°, intensity 58; 28.1°, intensity 58; 30.4°, intensity 50; 33.9°, intensity 49; 16.9°, intensity 39; 39.7°, intensity 33; 32.8°, intensity 30; 46.4°, intensity 25; 34.4°, intensity 25